No. 1
Simulated powder diffraction line list of Bi2S6O21 for Cu Ka, from a DFT-relaxed cell (GGA-PBE, the Materials Project).

Cell and atoms:
Cell lengths 6.711, 10.361, 11.805 Å; angles 91.02, 96.79, 94.88 degrees
Space group P-1 (No. 2)
One atom of each set of equivalent atoms:
Bi 0.077 0.093 0.264 [2 per cell]
Bi 0.335 0.414 0.721 [2 per cell]
S 0.083 0.812 0.451 [2 per cell]
S 0.135 0.445 0.236 [2 per cell]
S 0.174 0.168 0.931 [2 per cell]
S 0.209 0.671 0.907 [2 per cell]
S 0.427 0.071 0.776 [2 per cell]
S 0.460 0.702 0.540 [2 per cell]
O 0.000 0.089 0.870 [2 per cell]
O 0.009 0.507 0.693 [2 per cell]
O 0.017 0.421 0.110 [2 per cell]
O 0.035 0.805 0.568 [2 per cell]
O 0.072 0.249 0.634 [2 per cell]
O 0.160 0.941 0.419 [2 per cell]
O 0.180 0.778 0.827 [2 per cell]
O 0.186 0.168 0.053 [2 per cell]
O 0.207 0.322 0.273 [2 per cell]
O 0.209 0.297 0.884 [2 per cell]
O 0.234 0.706 0.025 [2 per cell]
O 0.243 0.009 0.709 [2 per cell]
O 0.263 0.719 0.442 [2 per cell]
O 0.301 0.541 0.220 [2 per cell]
O 0.350 0.582 0.871 [2 per cell]
O 0.372 0.090 0.907 [2 per cell]
O 0.375 0.624 0.628 [2 per cell]
O 0.410 0.011 0.207 [2 per cell]
O 0.421 0.372 0.530 [2 per cell]
O 0.453 0.170 0.423 [2 per cell]
O 0.482 0.200 0.736 [2 per cell]

Peak list (10 most intense, 2θ from 10° to 90°, low angle first)
- hkl 0 0 2, 15.12 deg, I = 91.6
- hkl 1 -1 0, 15.22 deg, I = 73.8
- hkl 1 1 -1, 17.37 deg, I = 29.6
- hkl 0 2 -1, 18.59 deg, I = 26.6
- hkl 1 1 1, 18.94 deg, I = 100.0
- hkl -1 1 2, 20.52 deg, I = 57.7
- hkl 0 2 -2, 22.64 deg, I = 76.7
- hkl 2 0 1, 28.82 deg, I = 40.3
- hkl 0 2 3, 29.06 deg, I = 29.0
- hkl 1 3 0, 30.29 deg, I = 30.7



No. 2
Simulated powder diffraction line list of Zn2BiSbO6 for Cu Ka, from a DFT-relaxed cell (GGA-PBE, the Materials Project).

Cell and atoms:
Cell lengths 5.532, 8.179, 5.611 Å; angles 90.00, 92.05, 90.00 degrees
Space group P2_1/m (No. 11)
One atom of each set of equivalent atoms:
Zn 0.011 0.250 0.468 [2 per cell]
Zn 0.477 0.750 0.994 [2 per cell]
Bi 0.000 0.000 0.000 [2 per cell]
Sb 0.500 0.000 0.500 [2 per cell]
O 0.134 0.750 0.868 [2 per cell]
O 0.181 0.572 0.373 [4 per cell]
O 0.361 0.072 0.808 [4 per cell]
O 0.388 0.250 0.363 [2 per cell]

Peak list (10 most intense, 2θ from 10° to 90°, low angle first)
- hkl 0 2 0, 21.73 deg, I = 16.2
- hkl 1 2 -1, 31.24 deg, I = 70.3
- hkl 1 2 1, 31.87 deg, I = 100.0
- hkl 2 0 0, 32.39 deg, I = 32.0
- hkl 0 4 0, 44.30 deg, I = 16.5
- hkl 0 4 2, 55.64 deg, I = 15.4
- hkl 2 4 0, 55.94 deg, I = 15.6
- hkl 1 2 -3, 56.08 deg, I = 17.5
- hkl 3 2 -1, 56.68 deg, I = 15.0
- hkl 3 2 1, 57.81 deg, I = 16.0



No. 3
Simulated powder diffraction line list of Sr2ScBiO6 for Cu Ka, from a DFT-relaxed cell (GGA-PBE, the Materials Project).

Cell and atoms:
Cell lengths 8.351, 8.351, 8.351 Å; angles 90.00, 90.00, 90.00 degrees
Space group Fm-3m (No. 225)
One atom of each set of equivalent atoms:
Sr 0.250 0.250 0.250 [8 per cell]
Sc 0.000 0.000 0.000 [4 per cell]
Bi 0.000 0.000 0.500 [4 per cell]
O 0.000 0.000 0.249 [24 per cell]

Peak list (10 most intense, 2θ from 10° to 90°, low angle first)
- hkl 1 1 1, 18.40 deg, I = 34.6
- hkl 2 0 0, 21.28 deg, I = 9.3
- hkl 2 2 0, 30.27 deg, I = 100.0
- hkl 3 1 1, 35.66 deg, I = 22.1
- hkl 4 0 0, 43.34 deg, I = 32.8
- hkl 3 3 1, 47.46 deg, I = 10.5
- hkl 4 2 2, 53.78 deg, I = 41.0
- hkl 4 4 0, 62.96 deg, I = 20.3
- hkl 6 2 0, 71.44 deg, I = 18.0
- hkl 6 4 2, 87.39 deg, I = 22.3



No. 4
Simulated powder diffraction line list of Bi2SeO5 for Cu Ka, from a DFT-relaxed cell (GGA-PBE, the Materials Project).

Cell and atoms:
Cell lengths 11.613, 16.624, 5.570 Å; angles 90.00, 90.00, 90.00 degrees
Space group Aem2 (No. 39)
One atom of each set of equivalent atoms:
Bi 0.109 0.085 0.000 [8 per cell]
Bi 0.114 0.250 0.465 [4 per cell]
Bi 0.371 0.250 0.995 [4 per cell]
Se 0.357 0.089 0.503 [8 per cell]
O 0.000 0.000 0.221 [4 per cell]
O 0.007 0.162 0.262 [8 per cell]
O 0.199 0.250 0.101 [4 per cell]
O 0.234 0.054 0.366 [8 per cell]
O 0.292 0.157 0.704 [8 per cell]
O 0.420 0.151 0.290 [8 per cell]

Peak list (10 most intense, 2θ from 10° to 90°, low angle first)
- hkl 2 3 1, 27.41 deg, I = 100.0
- hkl 4 0 0, 30.80 deg, I = 14.3
- hkl 0 0 2, 32.14 deg, I = 13.6
- hkl 0 6 0, 32.31 deg, I = 15.7
- hkl 4 0 2, 45.11 deg, I = 13.4
- hkl 4 6 0, 45.24 deg, I = 13.2
- hkl 0 6 2, 46.22 deg, I = 15.1
- hkl 6 3 1, 52.72 deg, I = 14.5
- hkl 2 3 3, 54.47 deg, I = 14.7
- hkl 2 9 1, 54.69 deg, I = 14.8



No. 5
Simulated powder diffraction line list of Bi2SeO6 for Cu Ka, from a DFT-relaxed cell (GGA-PBE, the Materials Project).

Cell and atoms:
Cell lengths 5.369, 16.129, 5.380 Å; angles 90.00, 90.00, 90.00 degrees
Space group Cmce (No. 64)
One atom of each set of equivalent atoms:
Bi 0.000 0.168 0.002 [8 per cell]
Se 0.000 0.000 0.500 [4 per cell]
O 0.000 0.106 0.570 [8 per cell]
O 0.250 0.033 0.250 [8 per cell]
O 0.250 0.250 0.250 [8 per cell]

Peak list (10 most intense, 2θ from 10° to 90°, low angle first)
- hkl 0 2 0, 10.97 deg, I = 14.8
- hkl 1 3 1, 28.77 deg, I = 100.0
- hkl 2 0 0, 33.34 deg, I = 45.4
- hkl 1 5 1, 36.54 deg, I = 7.2
- hkl 2 0 2, 47.87 deg, I = 45.0
- hkl 1 9 1, 56.81 deg, I = 49.2
- hkl 2 6 2, 59.58 deg, I = 12.5
- hkl 3 9 1, 77.39 deg, I = 20.9
- hkl 0 12 2, 79.76 deg, I = 11.6
- hkl 2 6 4, 89.25 deg, I = 10.4